Theoretical powder XRD pattern of Li2Si2O5 for Cu Kα, from a DFT-relaxed cell (GGA-PBE, Alexandria).
Neutral-atom scattering factors, no anomalous dispersion.

Cell and atoms:
```
data_Li2Si2O5
_chemical_formula_sum 'Li8 Si8 O20'
_symmetry_space_group_name_H-M 'P b c n'
_symmetry_Int_Tables_number 60
_symmetry_space_group_name_Hall '-P 2n 2ab'
_cell_length_a 5.7596
_cell_length_b 4.8571
_cell_length_c 14.8236
_cell_angle_alpha 90.00
_cell_angle_beta 90.00
_cell_angle_gamma 90.00
loop_
_atom_site_label
_atom_site_type_symbol
_atom_site_fract_x
_atom_site_fract_y
_atom_site_fract_z
Li1 Li 0.0975 0.1956 0.0515
Si1 Si 0.0943 0.3033 0.8515
O1 O 0.0000 0.2417 0.7500
O2 O 0.0754 0.2101 0.5687
O3 O 0.1521 0.3619 0.3610
```

Principal peaks in the range 2θ = 15–90°, by angle:
h k l  Position (°2θ)  I (rel.)
1 0 2  19.52  64
0 0 4  24.01  49
1 1 1  24.72  100
1 0 4  28.64  29
0 2 0  37.02  32
2 1 2  38.31  20